For Li5Nd2Cd12, the PBE geometry in Alexandria gives the calculated powder X-ray diffraction pattern in this record (copper Kα).
Kinematic intensities with the Lorentz-polarization factor, no thermal factor.

Crystal structure
Cell: 9.8782 9.8782 14.5675 Å, 90.00 90.00 120.00°
Space group R-3m (No. 166, hexagonal axes)
One atom of each set of equivalent atoms:
Li 0.0000 0.0000 0.0986 [6 per cell]
Li 0.0000 0.5000 0.5000 [9 per cell]
Nd 0.0000 0.0000 0.3450 [6 per cell]
Cd 0.0000 0.2956 0.0000 [18 per cell]
Cd 0.0096 0.5048 0.8502 [18 per cell]

Largest 12 diffraction maxima, by intensity, 10° ≤ 2θ ≤ 90°:
2θ 36.5, I = 100
2θ 32.3, I = 50
2θ 37.0, I = 31
2θ 28.3, I = 29
2θ 41.0, I = 28
2θ 31.4, I = 26
2θ 24.1, I = 26
2θ 36.4, I = 21
2θ 18.0, I = 17
2θ 12.0, I = 16
2θ 59.3, I = 15
2θ 49.3, I = 15

---

For Ac2Nd2Dy5, the PBE geometry in Alexandria gives the calculated powder X-ray diffraction pattern in this record (copper Kα).
Kinematic intensities with the Lorentz-polarization factor, no thermal factor.

Crystal structure
Cell: 22.160 3.630 8.369 Å, 90.00 98.57 90.00°
Space group C2/m (No. 12)
One atom of each set of equivalent atoms:
Ac 0.183 0.000 0.135 [4 per cell]
Nd 0.048 0.500 0.351 [4 per cell]
Dy 0.000 0.000 0.000 [2 per cell]
Dy 0.094 0.000 0.723 [4 per cell]
Dy 0.190 0.500 0.529 [4 per cell]

Largest 12 diffraction maxima, by intensity, 10° ≤ 2θ ≤ 90°:
2θ 28.9, I = 100
2θ 34.8, I = 69
2θ 32.3, I = 43
2θ 26.9, I = 33
2θ 33.9, I = 33
2θ 25.1, I = 30
2θ 41.7, I = 30
2θ 32.9, I = 24
2θ 50.3, I = 22
2θ 32.7, I = 21
2θ 52.4, I = 19
2θ 30.2, I = 19

---

For ThIn2Pt9, the PBE geometry in Alexandria gives the calculated powder X-ray diffraction pattern in this record (copper Kα).
Kinematic intensities with the Lorentz-polarization factor, no thermal factor.

Crystal structure
Cell: 4.132 4.132 12.236 Å, 90.00 90.00 90.00°
Space group P4/mmm (No. 123)
One atom of each set of equivalent atoms:
Th 0.000 0.000 0.000 [1 per cell]
In 0.000 0.000 0.340 [2 per cell]
Pt 0.000 0.500 0.175 [4 per cell]
Pt 0.000 0.500 0.500 [2 per cell]
Pt 0.500 0.500 0.000 [1 per cell]
Pt 0.500 0.500 0.339 [2 per cell]

Largest 12 diffraction maxima, by intensity, 10° ≤ 2θ ≤ 90°:
2θ 37.9, I = 100
2θ 43.8, I = 34
2θ 76.6, I = 26
2θ 64.2, I = 21
2θ 44.4, I = 15
2θ 77.4, I = 11
2θ 63.7, I = 11
2θ 81.0, I = 11
2θ 34.0, I = 1
2θ 69.4, I = 1
2θ 58.5, I = 1
2θ 22.7, I = 1

---

For Mn4Te3Se, the PBE geometry in Alexandria gives the calculated powder X-ray diffraction pattern in this record (copper Kα).
Kinematic intensities with the Lorentz-polarization factor, no thermal factor.

Crystal structure
Cell: 4.1226 4.1226 12.0242 Å, 90.00 90.00 120.00°
Space group P-6m2 (No. 187)
One atom of each set of equivalent atoms:
Mn 0.0000 0.0000 0.1156 [2 per cell]
Mn 0.0000 0.0000 0.3728 [2 per cell]
Te 0.3333 0.6667 0.2472 [2 per cell]
Te 0.6667 0.3333 0.5000 [1 per cell]
Se 0.6667 0.3333 0.0000 [1 per cell]

Largest 12 diffraction maxima, by intensity, 10° ≤ 2θ ≤ 90°:
2θ 29.1, I = 100
2θ 39.2, I = 58
2θ 43.9, I = 47
2θ 52.4, I = 19
2θ 53.5, I = 18
2θ 60.3, I = 15
2θ 78.8, I = 15
2θ 71.7, I = 15
2θ 77.5, I = 14
2θ 87.1, I = 9
2θ 70.7, I = 8
2θ 80.7, I = 7

---

For Al2ZnNi8, the PBE geometry in Alexandria gives the calculated powder X-ray diffraction pattern in this record (copper Kα).
Kinematic intensities with the Lorentz-polarization factor, no thermal factor.

Crystal structure
Cell: 3.869 6.244 10.748 Å, 90.00 90.00 90.00°
Space group Immm (No. 71)
One atom of each set of equivalent atoms:
Al 0.000 0.000 0.201 [4 per cell]
Zn 0.000 0.000 0.500 [2 per cell]
Ni 0.000 0.198 0.000 [4 per cell]
Ni 0.000 0.288 0.350 [8 per cell]
Ni 0.000 0.500 0.150 [4 per cell]

Largest 12 diffraction maxima, by intensity, 10° ≤ 2θ ≤ 90°:
2θ 45.1, I = 100
2θ 47.0, I = 29
2θ 43.5, I = 29
2θ 44.3, I = 19
2θ 51.0, I = 15
2θ 31.9, I = 14
2θ 85.9, I = 14
2θ 66.6, I = 10
2θ 71.8, I = 10
2θ 77.2, I = 8
2θ 16.4, I = 7
2θ 34.1, I = 7

---

For CdW4Se8, the PBE geometry in Alexandria gives the calculated powder X-ray diffraction pattern in this record (copper Kα).
Kinematic intensities with the Lorentz-polarization factor, no thermal factor.

Crystal structure
Cell: 6.6592 6.6592 24.8165 Å, 90.00 90.00 120.00°
Space group R-3m (No. 166, hexagonal axes)
One atom of each set of equivalent atoms:
Cd 0.0000 0.0000 0.0000 [3 per cell]
W 0.0000 0.0000 0.5000 [3 per cell]
W 0.0000 0.5000 0.5000 [9 per cell]
Se 0.0000 0.0000 0.2358 [6 per cell]
Se 0.0002 0.5001 0.2355 [18 per cell]

Largest 12 diffraction maxima, by intensity, 10° ≤ 2θ ≤ 90°:
2θ 10.7, I = 100
2θ 34.3, I = 66
2θ 42.8, I = 30
2θ 40.3, I = 20
2θ 55.2, I = 18
2θ 51.4, I = 13
2θ 31.2, I = 12
2θ 56.4, I = 10
2θ 66.6, I = 10
2θ 73.0, I = 9
2θ 82.1, I = 8
2θ 43.8, I = 7

---

For HfSbBr2F, the PBE geometry in Alexandria gives the calculated powder X-ray diffraction pattern in this record (copper Kα).
Kinematic intensities with the Lorentz-polarization factor, no thermal factor.

Crystal structure
Cell: 5.391 5.391 4.153 Å, 90.00 90.00 90.00°
Space group P4/mmm (No. 123)
One atom of each set of equivalent atoms:
Hf 0.000 0.000 0.000 [1 per cell]
Sb 0.500 0.500 0.500 [1 per cell]
Br 0.000 0.500 0.000 [2 per cell]
F 0.000 0.000 0.500 [1 per cell]

Largest 12 diffraction maxima, by intensity, 10° ≤ 2θ ≤ 90°:
2θ 27.1, I = 100
2θ 33.2, I = 90
2θ 43.4, I = 57
2θ 55.9, I = 40
2θ 47.7, I = 32
2θ 21.4, I = 23
2θ 66.6, I = 23
2θ 23.3, I = 22
2θ 43.6, I = 21
2θ 39.9, I = 19
2θ 66.5, I = 16
2θ 31.9, I = 15

---

For PmDyO3, the PBE geometry in Alexandria gives the calculated powder X-ray diffraction pattern in this record (copper Kα).
Kinematic intensities with the Lorentz-polarization factor, no thermal factor.

Crystal structure
Cell: 5.7259 5.7259 16.6513 Å, 90.00 90.00 120.00°
Space group R32 (No. 155, hexagonal axes)
One atom of each set of equivalent atoms:
Pm 0.0000 0.0000 0.1432 [6 per cell]
Dy 0.0000 0.0000 0.3514 [6 per cell]
O 0.0132 0.2985 0.2511 [18 per cell]

Largest 12 diffraction maxima, by intensity, 10° ≤ 2θ ≤ 90°:
2θ 28.0, I = 100
2θ 31.2, I = 94
2θ 45.5, I = 48
2θ 42.4, I = 38
2θ 53.6, I = 37
2θ 55.6, I = 26
2θ 20.9, I = 25
2θ 58.5, I = 17
2θ 76.5, I = 15
2θ 72.4, I = 13
2θ 65.2, I = 12
2θ 74.6, I = 10

---

For Fe2Cu10Sb4S13, the PBE geometry in Alexandria gives the calculated powder X-ray diffraction pattern in this record (copper Kα).
Kinematic intensities with the Lorentz-polarization factor, no thermal factor.

Crystal structure
Cell: 10.366 10.366 10.390 Å, 90.00 90.00 90.00°
Space group I-42m (No. 121)
One atom of each set of equivalent atoms:
Fe 0.000 0.000 0.223 [4 per cell]
Cu 0.000 0.222 0.000 [8 per cell]
Cu 0.000 0.250 0.500 [8 per cell]
Cu 0.000 0.500 0.250 [4 per cell]
Sb 0.225 0.225 0.769 [8 per cell]
S 0.000 0.000 0.000 [2 per cell]
S 0.114 0.114 0.365 [8 per cell]
S 0.116 0.365 0.116 [16 per cell]

Largest 12 diffraction maxima, by intensity, 10° ≤ 2θ ≤ 90°:
2θ 29.8, I = 100
2θ 49.7, I = 49
2θ 34.6, I = 23
2θ 59.1, I = 17
2θ 36.8, I = 12
2θ 32.3, I = 11
2θ 59.0, I = 10
2θ 44.5, I = 9
2θ 80.8, I = 9
2θ 24.3, I = 8
2θ 54.6, I = 6
2θ 48.0, I = 5